Entry 1:
For CaSiNiO4, DFT lattice parameters and positions (PBE+U) gives the theoretical powder XRD pattern in this record (Cu Kα X-rays).
Peak positions follow from Bragg's law for the DFT cell and can differ from measured ones.

Structural model:
Unit cell a=5.403 b=5.403 c=6.429 alpha=90.00 beta=90.00 gamma=112.71
Fractional positions:
Ca: 0.000 0.000 0.000
Ca: 0.000 0.000 0.500
Si: 0.363 0.637 0.750
Si: 0.637 0.363 0.250
Ni: 0.340 0.660 0.250
Ni: 0.660 0.340 0.750
O: 0.261 0.739 0.539
O: 0.261 0.739 0.961
O: 0.265 0.303 0.750
O: 0.303 0.265 0.250
O: 0.697 0.735 0.750
O: 0.735 0.697 0.250
O: 0.739 0.261 0.039
O: 0.739 0.261 0.461

Largest 10 diffraction maxima, in order of rising 2θ, 10° ≤ 2θ ≤ 90°:
29.84 deg, I = 64
33.16 deg, I = 100
33.42 deg, I = 83
46.09 deg, I = 31
49.46 deg, I = 18
55.14 deg, I = 17
55.29 deg, I = 24
57.33 deg, I = 15
58.84 deg, I = 42
68.01 deg, I = 19

---

Entry 2:
For CaSmNiO4, DFT lattice parameters and positions (PBE+U) gives the theoretical powder XRD pattern in this record (Cu Kα X-rays).
Peak positions follow from Bragg's law for the DFT cell and can differ from measured ones.

Structural model:
Unit cell a=3.772 b=3.772 c=11.964 alpha=90.00 beta=90.00 gamma=90.00
Fractional positions:
Ca: 0.000 0.000 0.000
Ca: 0.500 0.500 0.500
Sm: 0.000 0.000 0.720
Sm: 0.500 0.500 0.220
Ni: 0.000 0.000 0.364
Ni: 0.500 0.500 0.864
O: 0.000 0.000 0.191
O: 0.000 0.000 0.532
O: 0.000 0.500 0.354
O: 0.000 0.500 0.854
O: 0.500 0.000 0.354
O: 0.500 0.000 0.854
O: 0.500 0.500 0.032
O: 0.500 0.500 0.691

Largest 10 diffraction maxima, in order of rising 2θ, 10° ≤ 2θ ≤ 90°:
14.81 deg, I = 50
24.75 deg, I = 40
32.68 deg, I = 100
33.60 deg, I = 72
36.90 deg, I = 18
44.86 deg, I = 28
45.54 deg, I = 39
48.26 deg, I = 38
57.74 deg, I = 23
59.50 deg, I = 37

---

Entry 3:
For CaSmNi4O12, DFT lattice parameters and positions (PBE+U) gives the theoretical powder XRD pattern in this record (Cu Kα X-rays).
Peak positions follow from Bragg's law for the DFT cell and can differ from measured ones.

Structural model:
Unit cell a=5.332 b=5.332 c=7.605 alpha=90.00 beta=90.00 gamma=90.00
Fractional positions:
Ca: 0.000 0.000 0.000
Sm: 0.500 0.500 0.500
Ni: 0.000 0.500 0.248
Ni: 0.000 0.500 0.752
Ni: 0.500 0.000 0.248
Ni: 0.500 0.000 0.752
O: 0.000 0.500 0.000
O: 0.000 0.500 0.500
O: 0.257 0.257 0.260
O: 0.257 0.257 0.740
O: 0.257 0.743 0.260
O: 0.257 0.743 0.740
O: 0.500 0.000 0.000
O: 0.500 0.000 0.500
O: 0.743 0.257 0.260
O: 0.743 0.257 0.740
O: 0.743 0.743 0.260
O: 0.743 0.743 0.740

Largest 10 diffraction maxima, in order of rising 2θ, 10° ≤ 2θ ≤ 90°:
11.64 deg, I = 25
16.63 deg, I = 23
20.34 deg, I = 88
33.47 deg, I = 100
33.62 deg, I = 50
39.61 deg, I = 31
47.84 deg, I = 24
48.28 deg, I = 46
60.02 deg, I = 37
70.33 deg, I = 26

---

Entry 4:
For SrCaNi4O12, DFT lattice parameters and positions (PBE+U) gives the theoretical powder XRD pattern in this record (Cu Kα X-rays).
Peak positions follow from Bragg's law for the DFT cell and can differ from measured ones.

Structural model:
Unit cell a=5.383 b=5.383 c=7.647 alpha=90.00 beta=90.00 gamma=90.00
Fractional positions:
Sr: 0.000 0.000 0.000
Ca: 0.500 0.500 0.500
Ni: 0.000 0.500 0.251
Ni: 0.000 0.500 0.749
Ni: 0.500 0.000 0.251
Ni: 0.500 0.000 0.749
O: 0.000 0.500 0.000
O: 0.000 0.500 0.500
O: 0.255 0.255 0.258
O: 0.255 0.255 0.742
O: 0.255 0.745 0.258
O: 0.255 0.745 0.742
O: 0.500 0.000 0.000
O: 0.500 0.000 0.500
O: 0.745 0.255 0.258
O: 0.745 0.255 0.742
O: 0.745 0.745 0.258
O: 0.745 0.745 0.742

Largest 10 diffraction maxima, in order of rising 2θ, 10° ≤ 2θ ≤ 90°:
20.17 deg, I = 39
23.26 deg, I = 16
23.37 deg, I = 32
33.24 deg, I = 100
39.23 deg, I = 13
47.56 deg, I = 18
47.79 deg, I = 36
59.29 deg, I = 13
59.43 deg, I = 25
69.72 deg, I = 19

---

Entry 5:
For SrCaTbNiO6, DFT lattice parameters and positions (PBE+U) gives the theoretical powder XRD pattern in this record (Cu Kα X-rays).
Peak positions follow from Bragg's law for the DFT cell and can differ from measured ones.

Structural model:
Unit cell a=5.705 b=5.705 c=5.705 alpha=60.00 beta=60.00 gamma=60.00
Fractional positions:
Sr: 0.000 0.000 0.000
Ca: 0.500 0.500 0.500
Tb: 0.750 0.750 0.750
Ni: 0.250 0.250 0.250
O: 0.021 0.021 0.479
O: 0.021 0.479 0.021
O: 0.021 0.479 0.479
O: 0.479 0.021 0.021
O: 0.479 0.021 0.479
O: 0.479 0.479 0.021

Largest 10 diffraction maxima, in order of rising 2θ, 10° ≤ 2θ ≤ 90°:
19.05 deg, I = 17
22.03 deg, I = 19
31.36 deg, I = 100
36.95 deg, I = 14
44.94 deg, I = 34
49.22 deg, I = 8
50.59 deg, I = 7
55.82 deg, I = 38
65.43 deg, I = 20
74.36 deg, I = 17

---

Entry 6:
For SrCaNiWO6, DFT lattice parameters and positions (PBE+U) gives the theoretical powder XRD pattern in this record (Cu Kα X-rays).
Peak positions follow from Bragg's law for the DFT cell and can differ from measured ones.

Structural model:
Unit cell a=5.565 b=5.643 c=9.653 alpha=90.00 beta=125.12 gamma=90.00
Fractional positions:
Sr: 0.000 0.220 0.000
Sr: 0.000 0.780 0.500
Ca: 0.520 0.297 0.504
Ca: 0.520 0.703 0.004
Ni: 0.757 0.247 0.251
Ni: 0.757 0.753 0.751
W: 0.256 0.250 0.750
W: 0.256 0.750 0.250
O: 0.007 0.479 0.212
O: 0.007 0.521 0.712
O: 0.102 0.234 0.510
O: 0.102 0.766 0.010
O: 0.434 0.274 0.992
O: 0.434 0.726 0.492
O: 0.494 0.033 0.295
O: 0.494 0.967 0.795
O: 0.562 0.461 0.783
O: 0.562 0.539 0.283
O: 0.931 0.052 0.708
O: 0.931 0.948 0.208

Largest 10 diffraction maxima, in order of rising 2θ, 10° ≤ 2θ ≤ 90°:
19.34 deg, I = 24
19.52 deg, I = 23
22.47 deg, I = 33
31.72 deg, I = 25
32.00 deg, I = 100
32.17 deg, I = 24
45.80 deg, I = 29
56.68 deg, I = 18
57.22 deg, I = 22
66.92 deg, I = 16

---

Entry 7:
For Ca2NiWO6, DFT lattice parameters and positions (PBE+U) gives the theoretical powder XRD pattern in this record (Cu Kα X-rays).
Peak positions follow from Bragg's law for the DFT cell and can differ from measured ones.

Structural model:
Unit cell a=5.454 b=5.623 c=9.477 alpha=90.00 beta=124.74 gamma=90.00
Fractional positions:
Ca: 0.234 0.053 0.247
Ca: 0.234 0.447 0.747
Ca: 0.766 0.553 0.253
Ca: 0.766 0.947 0.753
Ni: 0.000 0.000 0.500
Ni: 0.000 0.500 0.000
W: 0.500 0.000 0.000
W: 0.500 0.500 0.500
O: 0.166 0.195 0.955
O: 0.166 0.305 0.455
O: 0.257 0.715 0.948
O: 0.257 0.785 0.448
O: 0.353 0.031 0.759
O: 0.353 0.469 0.259
O: 0.647 0.531 0.741
O: 0.647 0.969 0.241
O: 0.743 0.215 0.552
O: 0.743 0.285 0.052
O: 0.834 0.695 0.545
O: 0.834 0.805 0.045

Largest 10 diffraction maxima, in order of rising 2θ, 10° ≤ 2θ ≤ 90°:
19.47 deg, I = 60
19.94 deg, I = 30
22.71 deg, I = 99
22.84 deg, I = 46
31.83 deg, I = 50
32.35 deg, I = 100
32.51 deg, I = 99
32.84 deg, I = 46
46.38 deg, I = 55
58.50 deg, I = 34

---

Entry 8:
For CaNiWO6, DFT lattice parameters and positions (PBE+U) gives the theoretical powder XRD pattern in this record (Cu Kα X-rays).
Peak positions follow from Bragg's law for the DFT cell and can differ from measured ones.

Structural model:
Unit cell a=5.079 b=5.671 c=9.973 alpha=90.00 beta=90.00 gamma=90.00
Fractional positions:
Ca: 0.000 0.000 0.000
Ca: 0.500 0.500 0.500
Ni: 0.000 0.000 0.667
Ni: 0.500 0.500 0.167
W: 0.000 0.500 0.182
W: 0.500 0.000 0.682
O: 0.234 0.108 0.808
O: 0.241 0.652 0.055
O: 0.249 0.244 0.156
O: 0.251 0.744 0.656
O: 0.259 0.152 0.555
O: 0.266 0.608 0.308
O: 0.734 0.392 0.308
O: 0.741 0.848 0.555
O: 0.749 0.256 0.656
O: 0.751 0.756 0.156
O: 0.759 0.348 0.055
O: 0.766 0.892 0.808

Largest 10 diffraction maxima, in order of rising 2θ, 10° ≤ 2θ ≤ 90°:
17.79 deg, I = 48
17.99 deg, I = 100
19.62 deg, I = 22
29.64 deg, I = 19
31.19 deg, I = 23
31.55 deg, I = 11
39.91 deg, I = 23
47.84 deg, I = 22
48.10 deg, I = 11
51.68 deg, I = 12